Entry 1:
Starting from a DFT-relaxed cell (PBE, the Materials Project), the powder XRD pattern of CdIn2Se4 was calculated for Cu Kα (weighted mean of Kα1 and Kα2).
Lines closer than 0.1° are merged.

Crystal structure
abc: 5.991 5.991 11.814
angles: 90.00 90.00 90.00
Sites, in units of the cell vectors:
Cd (0.000, 0.000, 0.000)
Cd (0.500, 0.500, 0.500)
In (0.000, 0.000, 0.500)
In (0.000, 0.500, 0.750)
In (0.500, 0.000, 0.250)
In (0.500, 0.500, 0.000)
Se (0.227, 0.735, 0.363)
Se (0.235, 0.273, 0.137)
Se (0.265, 0.227, 0.637)
Se (0.273, 0.765, 0.863)
Se (0.727, 0.235, 0.863)
Se (0.735, 0.773, 0.637)
Se (0.765, 0.727, 0.137)
Se (0.773, 0.265, 0.363)

Main lines, low angle first (2θ = 15–90°):
Position (°2θ), Rel. int.
16.6, 10
25.9, 100
27.1, 8
34.3, 10
42.7, 25
43.0, 48
50.6, 29
51.2, 14
62.0, 7
68.8, 11
78.4, 14
79.0, 7



Entry 2:
Starting from a DFT-relaxed cell (PBE, the Materials Project), the powder XRD pattern of CdIn2Se4 was calculated for Cu Kα (weighted mean of Kα1 and Kα2).
Lines closer than 0.1° are merged.

Crystal structure
abc: 5.888 5.888 12.164
angles: 90.00 90.00 90.00
Sites, in units of the cell vectors:
Cd (0.000, 0.000, 0.000)
Cd (0.500, 0.500, 0.500)
In (0.000, 0.500, 0.250)
In (0.000, 0.500, 0.750)
In (0.500, 0.000, 0.250)
In (0.500, 0.000, 0.750)
Se (0.225, 0.225, 0.383)
Se (0.225, 0.775, 0.617)
Se (0.275, 0.275, 0.883)
Se (0.275, 0.725, 0.117)
Se (0.725, 0.275, 0.117)
Se (0.725, 0.725, 0.883)
Se (0.775, 0.225, 0.617)
Se (0.775, 0.775, 0.383)

Main lines, low angle first (2θ = 15–90°):
Position (°2θ), Rel. int.
16.7, 8
25.9, 100
26.7, 9
34.9, 11
42.7, 49
43.5, 23
50.0, 15
51.3, 27
63.2, 7
68.4, 11
77.8, 7
79.3, 13



Entry 3:
Starting from a DFT-relaxed cell (PBE, the Materials Project), the powder XRD pattern of CdIn2Se4 was calculated for Cu Kα (weighted mean of Kα1 and Kα2).
Lines closer than 0.1° are merged.

Crystal structure
abc: 8.186 8.186 8.186
angles: 60.00 60.00 60.00
Sites, in units of the cell vectors:
Cd (0.125, 0.125, 0.125)
Cd (0.875, 0.875, 0.875)
In (0.000, 0.500, 0.500)
In (0.500, 0.000, 0.500)
In (0.500, 0.500, 0.000)
In (0.500, 0.500, 0.500)
Se (0.260, 0.260, 0.260)
Se (0.260, 0.260, 0.721)
Se (0.260, 0.721, 0.260)
Se (0.279, 0.740, 0.740)
Se (0.721, 0.260, 0.260)
Se (0.740, 0.279, 0.740)
Se (0.740, 0.740, 0.279)
Se (0.740, 0.740, 0.740)

Main lines, low angle first (2θ = 15–90°):
Position (°2θ), Rel. int.
21.7, 23
25.5, 75
30.9, 60
40.5, 45
44.3, 100
55.0, 14
61.5, 16
64.4, 15
70.4, 12
73.1, 16
81.5, 29
87.1, 14



Entry 4:
Starting from a DFT-relaxed cell (PBE, the Materials Project), the powder XRD pattern of CdIn2Se4 was calculated for Cu Kα (weighted mean of Kα1 and Kα2).
Lines closer than 0.1° are merged.

Crystal structure
abc: 5.912 5.912 6.079
angles: 90.00 90.00 90.00
Sites, in units of the cell vectors:
Cd (0.000, 0.000, 0.000)
In (0.000, 0.500, 0.500)
In (0.500, 0.000, 0.500)
Se (0.273, 0.273, 0.234)
Se (0.273, 0.727, 0.766)
Se (0.727, 0.273, 0.766)
Se (0.727, 0.727, 0.234)

Main lines, low angle first (2θ = 15–90°):
Position (°2θ), Rel. int.
21.0, 9
25.9, 100
33.1, 6
37.1, 8
42.7, 49
43.3, 23
50.0, 15
51.1, 27
62.9, 7
68.3, 11
77.7, 7
79.0, 13



Entry 5:
Starting from a DFT-relaxed cell (PBE, the Materials Project), the powder XRD pattern of Sm2CdIn was calculated for Cu Kα (weighted mean of Kα1 and Kα2).
Lines closer than 0.1° are merged.

Crystal structure
abc: 7.656 7.656 7.656
angles: 90.00 90.00 90.00
Sites, in units of the cell vectors:
Sm (0.250, 0.250, 0.250)
Sm (0.250, 0.250, 0.750)
Sm (0.250, 0.750, 0.250)
Sm (0.250, 0.750, 0.750)
Sm (0.750, 0.250, 0.250)
Sm (0.750, 0.250, 0.750)
Sm (0.750, 0.750, 0.250)
Sm (0.750, 0.750, 0.750)
Cd (0.000, 0.000, 0.000)
Cd (0.000, 0.500, 0.500)
Cd (0.500, 0.000, 0.500)
Cd (0.500, 0.500, 0.000)
In (0.000, 0.000, 0.500)
In (0.000, 0.500, 0.000)
In (0.500, 0.000, 0.000)
In (0.500, 0.500, 0.500)

Main lines, low angle first (2θ = 15–90°):
Position (°2θ), Rel. int.
23.2, 2
33.1, 100
40.8, 1
47.5, 18
53.5, 1
59.1, 37
69.4, 11
79.1, 16
88.5, 4